Entry 1:
# Sr2In4PdPt
Simulated PXRD pattern, a wavelength of 1.5418 Å. Input: DFT lattice parameters and positions (PBE).
Lines closer than 0.1° are merged.

Top 10 peaks for 10° ≤ 2θ ≤ 90°, low angle first:
2θ 16.08, intensity 57; 2θ 30.85, intensity 100; 2θ 31.30, intensity 32; 2θ 33.29, intensity 89; 2θ 34.41, intensity 45; 2θ 38.71, intensity 56; 2θ 39.68, intensity 91; 2θ 40.01, intensity 77; 2θ 53.51, intensity 25; 2θ 62.40, intensity 27

Lattice parameters (Å, degrees): 8.009 5.963 5.963 44.79 90.00 90.00
Element x y z (fractional)
Sr1 0.000 0.000 0.000
Sr2 0.500 0.124 0.124
In1 0.196 0.713 0.713
In2 0.304 0.411 0.411
In3 0.696 0.411 0.411
In4 0.804 0.713 0.713
Pd1 0.000 0.281 0.281
Pt1 0.500 0.843 0.843


Entry 2:
# Tm3In3Pd2Pt
Simulated PXRD pattern, a wavelength of 1.5418 Å. Input: DFT lattice parameters and positions (PBE).
Lines closer than 0.1° are merged.

Top 10 peaks for 10° ≤ 2θ ≤ 90°, low angle first:
2θ 26.92, intensity 13; 2θ 33.17, intensity 67; 2θ 35.89, intensity 100; 2θ 40.84, intensity 35; 2θ 43.22, intensity 22; 2θ 47.72, intensity 17; 2θ 55.49, intensity 12; 2θ 64.58, intensity 18; 2θ 66.16, intensity 27; 2θ 76.00, intensity 14

Lattice parameters (Å, degrees): 7.654 7.654 3.811 90.00 90.00 120.00
Element x y z (fractional)
Tm1 0.000 0.596 0.000
Tm2 0.404 0.404 0.000
Tm3 0.596 0.000 0.000
In1 0.000 0.263 0.500
In2 0.263 0.000 0.500
In3 0.737 0.737 0.500
Pd1 0.333 0.667 0.500
Pd2 0.667 0.333 0.500
Pt1 0.000 0.000 0.000


Entry 3:
# Tm2In2Pd3Pt
Simulated PXRD pattern, a wavelength of 1.5418 Å. Input: DFT lattice parameters and positions (PBE).
Lines closer than 0.1° are merged.

Top 10 peaks for 10° ≤ 2θ ≤ 90°, low angle first:
2θ 22.41, intensity 15; 2θ 30.27, intensity 31; 2θ 38.03, intensity 100; 2θ 39.34, intensity 99; 2θ 55.87, intensity 33; 2θ 67.83, intensity 14; 2θ 70.47, intensity 33; 2θ 71.33, intensity 17; 2θ 81.34, intensity 9; 2θ 84.64, intensity 11

Lattice parameters (Å, degrees): 4.580 4.580 8.843 90.00 90.00 120.00
Element x y z (fractional)
Tm1 0.000 0.000 0.000
Tm2 0.333 0.667 0.494
In1 0.667 0.333 0.249
In2 0.667 0.333 0.749
Pd1 0.000 0.000 0.662
Pd2 0.333 0.667 0.156
Pd3 0.333 0.667 0.835
Pt1 0.000 0.000 0.339


Entry 4:
# YInPdPt
Simulated PXRD pattern, a wavelength of 1.5418 Å. Input: DFT lattice parameters and positions (PBE).
Lines closer than 0.1° are merged.

Top 10 peaks for 10° ≤ 2θ ≤ 90°, low angle first:
2θ 19.72, intensity 16; 2θ 24.44, intensity 13; 2θ 29.96, intensity 23; 2θ 37.53, intensity 98; 2θ 39.18, intensity 100; 2θ 46.34, intensity 15; 2θ 55.37, intensity 32; 2θ 66.60, intensity 16; 2θ 69.91, intensity 31; 2θ 71.00, intensity 17

Lattice parameters (Å, degrees): 4.599 4.599 9.003 90.00 90.00 120.00
Element x y z (fractional)
Y1 0.333 0.667 0.244
Y2 0.667 0.333 0.756
In1 0.000 0.000 0.000
In2 0.000 0.000 0.500
Pd1 0.333 0.667 0.585
Pd2 0.667 0.333 0.415
Pt1 0.333 0.667 0.905
Pt2 0.667 0.333 0.095


Entry 5:
# Y2In4PdPt
Simulated PXRD pattern, a wavelength of 1.5418 Å. Input: DFT lattice parameters and positions (PBE).
Lines closer than 0.1° are merged.

Top 10 peaks for 10° ≤ 2θ ≤ 90°, low angle first:
2θ 16.66, intensity 25; 2θ 32.34, intensity 100; 2θ 34.31, intensity 73; 2θ 35.86, intensity 35; 2θ 39.78, intensity 51; 2θ 40.45, intensity 60; 2θ 41.81, intensity 20; 2θ 42.58, intensity 44; 2θ 54.62, intensity 20; 2θ 64.67, intensity 31

Lattice parameters (Å, degrees): 7.402 5.784 5.784 46.13 90.00 90.00
Element x y z (fractional)
Y1 0.000 0.000 0.000
Y2 0.500 0.153 0.153
In1 0.203 0.714 0.714
In2 0.299 0.440 0.440
In3 0.701 0.440 0.440
In4 0.797 0.714 0.714
Pd1 0.500 0.871 0.871
Pt1 0.000 0.283 0.283


Entry 6:
# YInPdPt
Simulated PXRD pattern, a wavelength of 1.5418 Å. Input: DFT lattice parameters and positions (PBE).
Lines closer than 0.1° are merged.

Top 10 peaks for 10° ≤ 2θ ≤ 90°, low angle first:
2θ 19.73, intensity 23; 2θ 24.46, intensity 18; 2θ 29.98, intensity 17; 2θ 37.55, intensity 99; 2θ 39.21, intensity 100; 2θ 44.26, intensity 18; 2θ 55.41, intensity 32; 2θ 66.65, intensity 15; 2θ 69.97, intensity 32; 2θ 71.06, intensity 17

Lattice parameters (Å, degrees): 4.596 4.596 8.998 90.00 90.00 120.00
Element x y z (fractional)
Y1 0.333 0.667 0.000
Y2 0.667 0.333 0.500
In1 0.000 0.000 0.254
In2 0.000 0.000 0.754
Pd1 0.333 0.667 0.664
Pd2 0.667 0.333 0.164
Pt1 0.333 0.667 0.341
Pt2 0.667 0.333 0.841


Entry 7:
# InPd3S5
Simulated PXRD pattern, a wavelength of 1.5418 Å. Input: DFT lattice parameters and positions (PBE).
Lines closer than 0.1° are merged.

Top 10 peaks for 10° ≤ 2θ ≤ 90°, low angle first:
2θ 13.44, intensity 75; 2θ 21.90, intensity 85; 2θ 27.06, intensity 26; 2θ 33.04, intensity 29; 2θ 34.82, intensity 59; 2θ 37.48, intensity 33; 2θ 44.65, intensity 100; 2θ 48.76, intensity 20; 2θ 62.43, intensity 22; 2θ 79.97, intensity 17

Lattice parameters (Å, degrees): 5.950 5.950 6.590 90.00 90.00 120.00
Element x y z (fractional)
In1 0.000 0.000 0.000
Pd1 0.000 0.500 0.500
Pd2 0.500 0.000 0.500
Pd3 0.500 0.500 0.500
S1 0.000 0.000 0.500
S2 0.333 0.667 0.254
S3 0.333 0.667 0.746
S4 0.667 0.333 0.254
S5 0.667 0.333 0.746


Entry 8:
# Tm4InSi4Pd2
Simulated PXRD pattern, a wavelength of 1.5418 Å. Input: DFT lattice parameters and positions (PBE).
Lines closer than 0.1° are merged.

Top 10 peaks for 10° ≤ 2θ ≤ 90°, low angle first:
2θ 22.18, intensity 22; 2θ 28.12, intensity 20; 2θ 28.65, intensity 23; 2θ 33.59, intensity 100; 2θ 34.96, intensity 71; 2θ 36.49, intensity 100; 2θ 37.46, intensity 32; 2θ 43.13, intensity 24; 2θ 43.45, intensity 42; 2θ 58.26, intensity 20

Lattice parameters (Å, degrees): 7.997 7.997 6.991 107.31 107.31 30.20
Element x y z (fractional)
Tm1 0.084 0.084 0.378
Tm2 0.156 0.156 0.923
Tm3 0.844 0.844 0.077
Tm4 0.916 0.916 0.622
In1 0.500 0.500 0.000
Si1 0.308 0.308 0.759
Si2 0.438 0.438 0.347
Si3 0.562 0.562 0.653
Si4 0.692 0.692 0.241
Pd1 0.281 0.281 0.370
Pd2 0.719 0.719 0.630


Entry 9:
# Tb2SmIn3Pd3
Simulated PXRD pattern, a wavelength of 1.5418 Å. Input: DFT lattice parameters and positions (PBE).
Lines closer than 0.1° are merged.

Top 10 peaks for 10° ≤ 2θ ≤ 90°, low angle first:
2θ 32.65, intensity 100; 2θ 35.38, intensity 91; 2θ 35.53, intensity 50; 2θ 40.49, intensity 37; 2θ 42.64, intensity 22; 2θ 46.59, intensity 24; 2θ 54.84, intensity 18; 2θ 59.94, intensity 21; 2θ 63.40, intensity 19; 2θ 65.36, intensity 22

Lattice parameters (Å, degrees): 3.899 7.723 7.723 120.12 90.00 90.00
Element x y z (fractional)
Tb1 0.000 0.205 0.795
Tb2 0.000 0.795 0.205
Sm1 0.000 0.386 0.386
In1 0.500 0.052 0.052
In2 0.500 0.538 0.797
In3 0.500 0.797 0.538
Pd1 0.000 0.796 0.796
Pd2 0.500 0.126 0.463
Pd3 0.500 0.463 0.126


Entry 10:
# In10Te10Pd
Simulated PXRD pattern, a wavelength of 1.5418 Å. Input: DFT lattice parameters and positions (PBE).
Lines closer than 0.1° are merged.

Top 10 peaks for 10° ≤ 2θ ≤ 90°, low angle first:
2θ 22.14, intensity 28; 2θ 24.44, intensity 26; 2θ 26.56, intensity 100; 2θ 28.68, intensity 43; 2θ 29.01, intensity 48; 2θ 29.22, intensity 23; 2θ 36.59, intensity 34; 2θ 41.13, intensity 37; 2θ 42.21, intensity 38; 2θ 44.41, intensity 34

Lattice parameters (Å, degrees): 12.807 13.296 8.160 90.00 90.00 90.00
Element x y z (fractional)
In1 0.000 0.000 0.228
In2 0.000 0.000 0.772
In3 0.111 0.411 0.260
In4 0.111 0.411 0.740
In5 0.153 0.722 0.000
In6 0.157 0.637 0.500
In7 0.343 0.137 0.500
In8 0.347 0.222 0.000
In9 0.389 0.911 0.260
In10 0.389 0.911 0.740
In11 0.500 0.500 0.228
In12 0.500 0.500 0.772
In13 0.611 0.089 0.260
In14 0.611 0.089 0.740
In15 0.653 0.778 0.000
In16 0.657 0.863 0.500
In17 0.843 0.363 0.500
In18 0.847 0.278 0.000
In19 0.889 0.589 0.260
In20 0.889 0.589 0.740
Te1 0.068 0.266 0.000
Te2 0.115 0.119 0.500
Te3 0.173 0.827 0.293
Te4 0.173 0.827 0.707
Te5 0.226 0.527 0.000
Te6 0.274 0.027 0.000
Te7 0.327 0.327 0.293
Te8 0.327 0.327 0.707
Te9 0.385 0.619 0.500
Te10 0.432 0.766 0.000
Te11 0.568 0.234 0.000
Te12 0.615 0.381 0.500
Te13 0.673 0.673 0.293
Te14 0.673 0.673 0.707
Te15 0.726 0.973 0.000
Te16 0.774 0.473 0.000
Te17 0.827 0.173 0.293
Te18 0.827 0.173 0.707
Te19 0.885 0.881 0.500
Te20 0.932 0.734 0.000
Pd1 0.000 0.500 0.500
Pd2 0.500 0.000 0.500


Entry 11:
# Th3In3Pd2
Simulated PXRD pattern, a wavelength of 1.5418 Å. Input: DFT lattice parameters and positions (PBE).
Lines closer than 0.1° are merged.

Top 10 peaks for 10° ≤ 2θ ≤ 90°, low angle first:
2θ 28.31, intensity 68; 2θ 30.29, intensity 100; 2θ 33.19, intensity 64; 2θ 35.41, intensity 34; 2θ 35.98, intensity 84; 2θ 36.28, intensity 35; 2θ 40.82, intensity 29; 2θ 52.60, intensity 26; 2θ 57.57, intensity 44; 2θ 63.00, intensity 33

Lattice parameters (Å, degrees): 7.493 7.493 7.493 46.38 46.38 46.38
Element x y z (fractional)
Th1 0.000 0.000 0.000
Th2 0.412 0.412 0.412
Th3 0.588 0.588 0.588
In1 0.000 0.000 0.500
In2 0.000 0.500 0.000
In3 0.500 0.000 0.000
Pd1 0.279 0.279 0.279
Pd2 0.721 0.721 0.721


Entry 12:
# TlInPd6
Simulated PXRD pattern, a wavelength of 1.5418 Å. Input: DFT lattice parameters and positions (PBE).
Lines closer than 0.1° are merged.

Top 10 peaks for 10° ≤ 2θ ≤ 90°, low angle first:
2θ 11.42, intensity 2; 2θ 22.28, intensity 3; 2θ 38.61, intensity 100; 2θ 43.85, intensity 35; 2θ 46.92, intensity 14; 2θ 63.74, intensity 11; 2θ 66.16, intensity 20; 2θ 77.07, intensity 26; 2θ 81.52, intensity 11; 2θ 82.79, intensity 11

Lattice parameters (Å, degrees): 8.278 8.278 8.278 151.11 151.11 41.31
Element x y z (fractional)
Tl1 0.000 0.000 0.000
In1 0.250 0.250 0.000
Pd1 0.128 0.628 0.500
Pd2 0.373 0.873 0.500
Pd3 0.500 0.500 0.000
Pd4 0.628 0.128 0.500
Pd5 0.751 0.751 0.000
Pd6 0.873 0.373 0.500


Entry 13:
# InPdW2
Simulated PXRD pattern, a wavelength of 1.5418 Å. Input: DFT lattice parameters and positions (PBE).
Lines closer than 0.1° are merged.

Top 9 peaks for 10° ≤ 2θ ≤ 90°, low angle first:
2θ 23.79, intensity 6; 2θ 39.35, intensity 100; 2θ 46.50, intensity 4; 2θ 56.86, intensity 17; 2θ 62.50, intensity 2; 2θ 71.34, intensity 35; 2θ 76.41, intensity 1; 2θ 84.64, intensity 11; 2θ 89.52, intensity 1

Lattice parameters (Å, degrees): 4.580 4.580 4.580 60.00 60.00 60.00
Element x y z (fractional)
In1 0.000 0.000 0.000
Pd1 0.250 0.250 0.250
W1 0.500 0.500 0.500
W2 0.750 0.750 0.750


Entry 14:
# PmInPt4
Simulated PXRD pattern, a wavelength of 1.5418 Å. Input: DFT lattice parameters and positions (PBE).
Lines closer than 0.1° are merged.

Top 10 peaks for 10° ≤ 2θ ≤ 90°, low angle first:
2θ 20.00, intensity 21; 2θ 32.95, intensity 17; 2θ 38.85, intensity 100; 2θ 40.65, intensity 53; 2θ 47.29, intensity 11; 2θ 58.84, intensity 6; 2θ 62.80, intensity 33; 2θ 69.11, intensity 30; 2θ 82.22, intensity 12; 2θ 83.38, intensity 21

Lattice parameters (Å, degrees): 5.437 5.437 5.437 60.00 60.00 60.00
Element x y z (fractional)
Pm1 0.000 0.000 0.000
In1 0.750 0.750 0.750
Pt1 0.376 0.376 0.376
Pt2 0.376 0.376 0.873
Pt3 0.376 0.873 0.376
Pt4 0.873 0.376 0.376